# Li6Fe5WO12
Computed powder X-ray diffraction pattern, copper Kα. Input: a PBE+U-relaxed structure.

The 12 most intense peaks (5 to 70 degrees two-theta), by intensity:
2theta  I (rel.)  h k l
17.48  100  0 0 2
34.94  41  1 3 -1
8.72  26  0 0 1
42.38  23  1 3 -3
45.15  23  1 3 3
36.02  23  1 3 1
61.96  16  3 3 -1
55.60  13  1 3 -5
41.32  12  2 0 2
37.29  12  2 0 -2
64.07  11  3 3 1
19.86  11  1 1 0

Structural model:
Unit cell a=5.1707 b=9.1069 c=10.2222 alpha=90.00 beta=96.99 gamma=90.00
Space group C2/m (No. 12)
Unique sites:
Li  0.1147  0.0000  0.2523
Li  0.1242  0.3228  0.2565
Fe  0.0000  0.0000  0.0000
Fe  0.0000  0.1713  0.5000
Fe  0.0000  0.3352  0.0000
W  0.0000  0.5000  0.5000
O  0.1350  0.1686  0.8877
O  0.1376  0.5000  0.8923
O  0.1897  0.3429  0.6186
O  0.2219  0.0000  0.6160